Diffraction record for Li3PrGe2. The powder X-ray diffraction pattern is theoretical, not measured: it uses a cell relaxed with PBE and a wavelength of 1.5418 Å.
Neutral-atom scattering factors, no anomalous dispersion.

Structural model:
Cell: 15.171 4.322 8.000 Å, 90.00 115.86 90.00°
Space group C2/m (No. 12)
Symmetry-distinct sites (fractional):
Li 0.039 0.000 0.369 [4 per cell]
Li 0.098 0.500 0.687 [4 per cell]
Li 0.189 0.500 0.464 [4 per cell]
Pr 0.150 0.000 0.063 [4 per cell]
Ge 0.024 0.500 0.165 [4 per cell]
Ge 0.192 0.000 0.708 [4 per cell]

Most intense lines, 2θ from 5° to 70°, in order of falling intensity:
index, 2theta, I/Imax
3 1 0, 28.48, 100
0 0 1, 12.29, 98
1 1 -3, 40.96, 43
1 1 -2, 30.76, 39
5 1 -2, 37.75, 29
3 1 1, 34.47, 28
4 0 -2, 27.05, 26
0 2 0, 41.80, 25
4 0 -3, 35.10, 23
3 1 -1, 27.42, 23

Diffraction record for YPClO4. The powder X-ray diffraction pattern is theoretical, not measured: it uses a cell relaxed with PBE and a wavelength of 1.5418 Å.
Neutral-atom scattering factors, no anomalous dispersion.

Structural model:
Cell: 10.746 6.486 6.588 Å, 90.00 100.66 90.00°
Space group C2/m (No. 12)
Symmetry-distinct sites (fractional):
Y 0.205 0.000 0.334 [4 per cell]
P 0.147 0.000 0.775 [4 per cell]
Cl 0.030 0.500 0.366 [4 per cell]
O 0.001 0.000 0.747 [4 per cell]
O 0.193 0.187 0.655 [8 per cell]
O 0.210 0.000 0.002 [4 per cell]

Most intense lines, 2θ from 5° to 70°, in order of falling intensity:
index, 2theta, I/Imax
0 2 0, 27.52, 100
3 1 0, 28.86, 86
0 0 1, 13.68, 69
2 0 0, 16.79, 51
1 1 -2, 30.63, 45
3 1 1, 34.09, 41
1 1 -1, 20.09, 29
1 1 0, 16.04, 25
3 1 -2, 36.78, 25
5 1 0, 45.15, 25

Diffraction record for Nd3CdC. The powder X-ray diffraction pattern is theoretical, not measured: it uses a cell relaxed with PBE and a wavelength of 1.5418 Å.
Neutral-atom scattering factors, no anomalous dispersion.

Structural model:
Cell: 10.723 14.978 6.594 Å, 90.00 90.00 90.00°
Space group Cmce (No. 64)
Symmetry-distinct sites (fractional):
Nd 0.000 0.044 0.250 [8 per cell]
Nd 0.000 0.250 0.000 [8 per cell]
Nd 0.250 0.107 0.750 [8 per cell]
Cd 0.250 0.165 0.250 [8 per cell]
C 0.000 0.117 0.749 [8 per cell]

Most intense lines, 2θ from 5° to 70°, in order of falling intensity:
index, 2theta, I/Imax
2 4 0, 29.09, 100
2 4 1, 32.16, 83
2 2 2, 34.09, 74
4 0 0, 33.43, 71
0 2 2, 29.60, 38
2 0 2, 31.86, 32
0 0 2, 27.04, 29
0 4 2, 36.30, 29
4 0 4, 66.58, 27
4 2 2, 45.25, 24

Diffraction record for Cd2GaHg6. The powder X-ray diffraction pattern is theoretical, not measured: it uses a cell relaxed with PBE and a wavelength of 1.5418 Å.
Neutral-atom scattering factors, no anomalous dispersion.

Structural model:
Cell: 5.253 9.400 10.251 Å, 90.00 115.32 90.00°
Space group P2_1/c (No. 14)
Symmetry-distinct sites (fractional):
Cd 0.174 0.195 0.180 [4 per cell]
Ga 0.000 0.000 0.500 [2 per cell]
Hg 0.147 0.659 0.648 [4 per cell]
Hg 0.330 0.518 0.324 [4 per cell]
Hg 0.491 0.669 0.990 [4 per cell]

Most intense lines, 2θ from 5° to 70°, in order of falling intensity:
index, 2theta, I/Imax
1 3 -1, 33.34, 100
2 0 -2, 34.29, 53
0 1 3, 30.46, 53
1 2 2, 37.64, 34
1 2 -4, 40.15, 28
3 3 -3, 60.80, 20
2 1 1, 44.31, 19
2 1 -5, 48.65, 15
0 0 6, 59.89, 10
1 3 5, 68.62, 10

Diffraction record for HgBiPd. The powder X-ray diffraction pattern is theoretical, not measured: it uses a cell relaxed with PBE and a wavelength of 1.5418 Å.
Neutral-atom scattering factors, no anomalous dispersion.

Structural model:
Cell: 5.834 6.821 6.790 Å, 90.00 90.00 90.00°
Space group Ima2 (No. 46)
Symmetry-distinct sites (fractional):
Hg 0.250 0.169 0.000 [4 per cell]
Bi 0.250 0.655 0.826 [4 per cell]
Pd 0.000 0.000 0.673 [4 per cell]

Most intense lines, 2θ from 5° to 70°, in order of falling intensity:
index, 2theta, I/Imax
1 2 1, 33.20, 100
2 0 2, 40.74, 26
3 2 1, 56.13, 23
2 1 1, 36.00, 21
2 3 3, 66.53, 19
2 0 0, 30.65, 14
0 1 3, 42.06, 14
0 3 1, 41.90, 14
1 1 4, 58.20, 9
1 4 1, 57.96, 8

Diffraction record for LiC2O. The powder X-ray diffraction pattern is theoretical, not measured: it uses a cell relaxed with PBE and a wavelength of 1.5418 Å.
Neutral-atom scattering factors, no anomalous dispersion.

Structural model:
Cell: 2.546 2.682 4.955 Å, 90.00 90.00 90.00°
Space group Pmm2 (No. 25)
Symmetry-distinct sites (fractional):
Li 0.000 0.000 0.000 [1 per cell]
C 0.000 0.500 0.401 [1 per cell]
C 0.500 0.500 0.548 [1 per cell]
O 0.500 0.500 0.812 [1 per cell]

Most intense lines, 2θ from 5° to 70°, in order of falling intensity:
index, 2theta, I/Imax
0 0 1, 17.90, 100
0 1 0, 33.41, 83
1 0 1, 39.80, 51
0 1 1, 38.15, 44
1 1 1, 52.91, 41
1 1 0, 49.35, 19
0 0 2, 36.26, 16
1 0 3, 67.60, 12
0 1 2, 50.12, 10
1 0 0, 35.24, 9